Diffraction record for Re3P4. The powder diffractogram is computed, not measured: it uses a cell relaxed with PBE and Cu Kα (weighted mean of Kα1 and Kα2).
Kinematic intensities with the Lorentz-polarization factor, no thermal factor.

Principal peaks in the range 2θ from 10° to 80°, by angle:
two_theta	Rel. int.
17.3	65
29.6	53
31.8	51
33.1	100
45.5	48
47.6	62

Atomic structure:
```
Re3P4
1.0
6.1458 -1.5154 0.0000
6.1458 1.5154 0.0000
-2.4494 0.0000 5.5443
Re P
3 4
direct
0.0000 0.0000 0.0000 Re
0.2636 0.2636 0.3188 Re
0.7364 0.7364 0.6812 Re
0.0852 0.0852 0.4371 P
0.3510 0.3510 0.0238 P
0.6490 0.6490 0.9762 P
0.9148 0.9148 0.5629 P
```